Diffraction record for HfTi5Ge6. The powder diffractogram is calculated, not measured: it uses a cell relaxed with GGA-PBE and Cu Kα (λ = 1.5418 Å).
Lines closer than 0.1° are merged.

Principal peaks in the range 15° ≤ 2θ ≤ 90°, sorted by position:
| index | two_theta | I/Imax |
| --- | --- | --- |
| 1 1 0 | 16.68 | 7 |
| 1 1 -1 | 18.74 | 5 |
| 2 0 -2 | 34.26 | 100 |
| 1 3 -3 | 49.22 | 58 |
| 0 6 0 | 49.33 | 11 |
| 4 0 0 | 61.21 | 6 |
| 0 0 4 | 61.41 | 17 |
| 4 0 -4 | 72.19 | 10 |
| 5 3 -3 | 82.28 | 5 |
| 4 6 0 | 82.33 | 10 |
| 3 3 -5 | 82.46 | 10 |
| 1 9 1 | 82.55 | 5 |

Structure:
Lattice parameters (Å, degrees): 6.423 11.084 6.407 90.00 109.44 90.00
Space group C2/m (No. 12)
Inequivalent atoms, fractional coordinates:
Hf (0.000, 0.000, 0.000) x2
Ti (0.000, 0.163, 0.500) x4
Ti (0.000, 0.332, 0.000) x4
Ti (0.000, 0.500, 0.500) x2
Ge (0.242, 0.500, 0.252) x4
Ge (0.243, 0.329, 0.743) x8

=====

Diffraction record for Tm2Hf3Ge4. The powder diffractogram is calculated, not measured: it uses a cell relaxed with GGA-PBE and Cu Kα (λ = 1.5418 Å).
Lines closer than 0.1° are merged.

Principal peaks in the range 15° ≤ 2θ ≤ 90°, sorted by position:
| index | two_theta | I/Imax |
| --- | --- | --- |
| 1 1 -2 | 27.97 | 19 |
| 2 0 -2 | 30.03 | 13 |
| 2 1 -2 | 32.47 | 44 |
| 2 2 -1 | 34.76 | 61 |
| 1 2 -2 | 35.17 | 47 |
| 1 1 2 | 35.59 | 100 |
| 3 0 -2 | 39.03 | 41 |
| 0 3 1 | 39.13 | 36 |
| 1 1 -3 | 39.68 | 45 |
| 3 1 -4 | 56.98 | 19 |
| 3 3 1 | 59.99 | 27 |
| 1 3 3 | 60.74 | 16 |

Structure:
Lattice parameters (Å, degrees): 7.370 7.350 7.166 90.00 110.02 90.00
Space group P2_1/c (No. 14)
Inequivalent atoms, fractional coordinates:
Tm (0.187, 0.172, 0.062) x4
Hf (0.251, 0.675, 0.247) x4
Hf (0.500, 0.000, 0.500) x2
Ge (0.084, 0.534, 0.850) x4
Ge (0.486, 0.135, 0.862) x4

=====

Diffraction record for HfV2Ge2. The powder diffractogram is calculated, not measured: it uses a cell relaxed with GGA-PBE and Cu Kα (λ = 1.5418 Å).
Lines closer than 0.1° are merged.

Principal peaks in the range 15° ≤ 2θ ≤ 90°, sorted by position:
| index | two_theta | I/Imax |
| --- | --- | --- |
| 0 0 2 | 15.51 | 25 |
| 1 0 3 | 33.55 | 78 |
| 1 1 0 | 33.83 | 34 |
| 1 1 2 | 37.41 | 100 |
| 1 0 5 | 46.56 | 58 |
| 2 0 0 | 48.59 | 44 |
| 2 1 3 | 60.34 | 29 |
| 2 1 5 | 69.57 | 35 |
| 2 2 0 | 71.16 | 14 |
| 3 1 2 | 83.27 | 19 |
| 2 0 8 | 85.50 | 12 |
| 3 0 5 | 89.40 | 9 |

Structure:
Lattice parameters (Å, degrees): 3.748 3.748 11.423 90.00 90.00 90.00
Space group I4/mmm (No. 139)
Inequivalent atoms, fractional coordinates:
Hf (0.000, 0.000, 0.000) x2
V (0.000, 0.500, 0.250) x4
Ge (0.000, 0.000, 0.394) x4